1.
Theoretical X-ray powder pattern of La2SmZn4 for λ = 1.5418 Å (Cu Kα), from the PBE geometry in Alexandria.
Neutral-atom scattering factors, no anomalous dispersion.

The 12 most intense peaks (2θ from 5° to 70°), low angle first:
(hkl), 2θ (°), intensity
0 0 3, 10.4, 19
1 0 1, 20.3, 21
0 1 2, 21.2, 11
1 0 4, 24.4, 9
0 1 5, 26.6, 14
0 1 8, 34.6, 100
1 1 0, 35.0, 100
1 1 9, 47.8, 11
2 0 8, 50.0, 35
1 0 16, 61.7, 16
1 2 8, 62.5, 35
3 0 0, 62.7, 18

a = 5.1298 Å, b = 5.1298 Å, c = 25.5624 Å
α = 90.00°, β = 90.00°, γ = 120.00°
Space group R-3m (No. 166, hexagonal axes)
Symmetry-distinct sites (fractional):
La 0.0000 0.0000 0.2444
Sm 0.0000 0.0000 0.0000
Zn 0.0000 0.0000 0.1227
Zn 0.0000 0.0000 0.3728

2.
Theoretical X-ray powder pattern of Na5Bi for λ = 1.5418 Å (Cu Kα), from the PBE geometry in Alexandria.
Neutral-atom scattering factors, no anomalous dispersion.

The 12 most intense peaks (2θ from 5° to 70°), low angle first:
(hkl), 2θ (°), intensity
0 0 1, 12.6, 88
2 0 0, 18.5, 100
2 0 -1, 22.4, 60
1 1 1, 22.5, 61
1 1 -2, 31.5, 72
2 0 2, 31.6, 53
3 1 0, 32.4, 58
0 2 0, 32.5, 29
3 1 1, 34.9, 33
2 2 -1, 39.8, 24
2 2 2, 46.0, 21
1 3 -2, 57.4, 31

a = 9.5888 Å, b = 5.5134 Å, c = 7.0369 Å
α = 90.00°, β = 90.29°, γ = 90.00°
Space group Cm (No. 8)
Symmetry-distinct sites (fractional):
Na 0.0000 0.0000 0.0000
Na 0.0010 0.0000 0.5380
Na 0.1669 0.5000 0.3359
Na 0.3328 0.0000 0.1323
Na 0.3336 0.0000 0.6708
Bi 0.1668 0.5000 0.8360

3.
Theoretical X-ray powder pattern of HfTl2IrO6 for λ = 1.5418 Å (Cu Kα), from the PBE geometry in Alexandria.
Neutral-atom scattering factors, no anomalous dispersion.

The 12 most intense peaks (2θ from 5° to 70°), low angle first:
(hkl), 2θ (°), intensity
1 0 7, 27.6, 47
1 1 0, 30.0, 100
0 1 8, 30.1, 35
1 0 10, 35.5, 7
0 2 7, 41.2, 34
2 0 8, 43.0, 15
0 1 14, 47.2, 7
2 1 7, 51.8, 14
3 0 0, 53.3, 36
1 1 15, 56.7, 15
2 2 0, 62.3, 17
1 3 7, 69.4, 9

a = 5.9620 Å, b = 5.9620 Å, c = 29.0486 Å
α = 90.00°, β = 90.00°, γ = 120.00°
Space group R-3m (No. 166, hexagonal axes)
Symmetry-distinct sites (fractional):
Hf 0.0000 0.0000 0.0982
Tl 0.0000 0.0000 0.2228
Tl 0.0000 0.0000 0.3650
Ir 0.0000 0.0000 0.0000
Ir 0.0000 0.0000 0.5000
O 0.0165 0.5082 0.2040
O 0.0412 0.5206 0.6239

4.
Theoretical X-ray powder pattern of NaAcBiO for λ = 1.5418 Å (Cu Kα), from the PBE geometry in Alexandria.
Neutral-atom scattering factors, no anomalous dispersion.

The 12 most intense peaks (2θ from 5° to 70°), low angle first:
(hkl), 2θ (°), intensity
0 0 2, 11.3, 36
0 0 4, 22.6, 17
1 0 1, 25.5, 27
1 0 3, 30.2, 100
0 0 6, 34.2, 17
1 1 0, 35.4, 38
1 1 4, 42.4, 13
1 1 6, 50.0, 24
2 0 0, 50.9, 14
1 0 9, 58.8, 17
2 1 3, 60.3, 30
2 0 6, 62.8, 13

a = 3.5888 Å, b = 3.5888 Å, c = 15.7282 Å
α = 90.00°, β = 90.00°, γ = 90.00°
Space group I4mm (No. 107)
Symmetry-distinct sites (fractional):
Na 0.0000 0.0000 0.0000
Ac 0.0000 0.0000 0.6954
Bi 0.0000 0.0000 0.3700
O 0.0000 0.0000 0.1484

5.
Theoretical X-ray powder pattern of UBr2O2F2 for λ = 1.5418 Å (Cu Kα), from the PBE geometry in Alexandria.
Neutral-atom scattering factors, no anomalous dispersion.

The 12 most intense peaks (2θ from 5° to 70°), low angle first:
(hkl), 2θ (°), intensity
1 1 0, 18.5, 24
2 0 0, 21.7, 22
1 1 -1, 22.3, 55
1 1 1, 23.4, 100
2 0 -1, 24.5, 17
0 0 2, 26.8, 18
0 2 0, 30.3, 38
1 1 -2, 32.0, 24
2 0 2, 36.3, 31
3 1 -2, 43.8, 18
1 3 1, 49.9, 13
1 1 -4, 57.8, 15

a = 8.2226 Å, b = 5.9021 Å, c = 6.6695 Å
α = 90.00°, β = 95.00°, γ = 90.00°
Space group C2/m (No. 12)
Symmetry-distinct sites (fractional):
U 0.0000 0.0000 0.0000
Br 0.1143 0.5000 0.4099
O 0.2123 0.0000 0.0968
F 0.0819 0.0000 0.7127

6.
Theoretical X-ray powder pattern of LiHRh2 for λ = 1.5418 Å (Cu Kα), from the PBE geometry in Alexandria.
Neutral-atom scattering factors, no anomalous dispersion.

The 12 most intense peaks (2θ from 5° to 70°), low angle first:
(hkl), 2θ (°), intensity
1 0 1, 20.3, 100
1 1 2, 33.4, 26
1 0 3, 39.2, 20
2 1 1, 39.6, 65
2 0 2, 41.3, 53
0 0 4, 47.6, 12
2 2 0, 48.3, 9
2 1 3, 52.6, 26
3 1 0, 54.4, 17
3 1 2, 60.0, 4
1 0 5, 63.3, 5
3 2 1, 64.1, 7

a = 5.3316 Å, b = 5.3316 Å, c = 7.6448 Å
α = 90.00°, β = 90.00°, γ = 90.00°
Space group I-42d (No. 122)
Symmetry-distinct sites (fractional):
Li 0.0000 0.0000 0.0000
H 0.0000 0.0000 0.5000
Rh 0.0702 0.7500 0.6250